CsAcMnF6: calculated powder X-ray diffraction pattern (Cu Kα X-rays), based on DFT lattice parameters and positions (GGA+U).
Peak positions follow from Bragg's law for the DFT cell and can differ from measured ones.

Structure:
```
data_CsAcMnF6
_symmetry_space_group_name_H-M 'I m m a'
_symmetry_Int_Tables_number 74
_symmetry_space_group_name_Hall '-I 2b 2'
_cell_length_a 7.818
_cell_length_b 8.384
_cell_length_c 10.860
_cell_angle_alpha 90.00
_cell_angle_beta 90.00
_cell_angle_gamma 90.00
loop_
_atom_site_label
_atom_site_type_symbol
_atom_site_fract_x
_atom_site_fract_y
_atom_site_fract_z
_atom_site_occupancy
Cs1 Cs 0.000 0.250 0.087 1
Ac1 Ac 0.000 0.000 0.500 1
Mn1 Mn 0.250 0.250 0.750 1
F1 F 0.000 0.250 0.381 1
F2 F 0.000 0.250 0.660 1
F3 F 0.231 0.066 0.884 1
```

Largest 10 diffraction maxima, in order of rising 2θ, 2θ = 10–90°:
- d = 6.345 Å, I = 35, (1 0 1)
- d = 5.430 Å, I = 39, (0 0 2)
- d = 3.909 Å, I = 23, (2 0 0)
- d = 3.498 Å, I = 100, (1 2 1)
- d = 3.320 Å, I = 41, (0 2 2)
- d = 3.173 Å, I = 45, (2 0 2)
- d = 2.586 Å, I = 31, (1 2 3)
- d = 2.169 Å, I = 31, (3 2 1)
- d = 2.094 Å, I = 29, (0 4 0)
- d = 1.969 Å, I = 42, (2 2 4)